For LiGePt5, the PBE geometry in Alexandria gives the theoretical powder X-ray diffraction pattern in this record (Cu Kα X-rays).
No peak broadening, texture or thermal motion is included.

Structure:
Cell lengths 7.442, 11.104, 5.491 Å; angles 90.00, 90.00, 90.00 degrees
Space group Imma (No. 74)
Unique sites:
Li 0.000 0.000 0.000 [4 per cell]
Ge 0.000 0.250 0.259 [4 per cell]
Pt 0.000 0.250 0.834 [4 per cell]
Pt 0.199 0.119 0.503 [16 per cell]

Most intense lines, 2θ = 10–80°, by angle:
(hkl), 2theta, intensity
2 2 0, 28.88, 31
0 0 2, 32.62, 42
1 4 1, 38.29, 34
3 0 1, 39.88, 71
2 4 0, 40.54, 100
2 0 2, 40.85, 77
0 4 2, 46.52, 74
3 4 1, 52.18, 34
3 4 3, 72.68, 34
5 4 1, 74.34, 33

***

For LiSmGe2Pt5, the PBE geometry in Alexandria gives the theoretical powder X-ray diffraction pattern in this record (Cu Kα X-rays).
No peak broadening, texture or thermal motion is included.

Structure:
Cell lengths 4.166, 4.166, 9.384 Å; angles 90.00, 90.00, 90.00 degrees
Space group P4/mmm (No. 123)
Unique sites:
Li 0.000 0.000 0.000 [1 per cell]
Sm 0.000 0.000 0.500 [1 per cell]
Ge 0.500 0.500 0.130 [2 per cell]
Pt 0.000 0.500 0.272 [4 per cell]
Pt 0.500 0.500 0.500 [1 per cell]

Most intense lines, 2θ = 10–80°, by angle:
(hkl), 2theta, intensity
0 0 2, 18.91, 17
1 1 2, 36.00, 100
0 0 4, 38.37, 13
1 1 3, 42.14, 31
2 0 0, 43.45, 40
2 0 4, 59.33, 15
2 2 0, 63.13, 13
2 0 5, 67.13, 11
1 1 6, 67.85, 11
3 1 2, 74.87, 24

***

For LiTbGePt3, the PBE geometry in Alexandria gives the theoretical powder X-ray diffraction pattern in this record (Cu Kα X-rays).
No peak broadening, texture or thermal motion is included.

Structure:
Cell lengths 5.680, 12.854, 5.734 Å; angles 90.00, 90.00, 90.00 degrees
Space group Cmcm (No. 63)
Unique sites:
Li 0.000 0.121 0.250 [4 per cell]
Tb 0.000 0.332 0.250 [4 per cell]
Ge 0.000 0.380 0.750 [4 per cell]
Pt 0.000 0.188 0.750 [4 per cell]
Pt 0.239 0.000 0.000 [8 per cell]

Most intense lines, 2θ = 10–80°, by angle:
(hkl), 2theta, intensity
0 2 0, 13.78, 36
0 2 1, 20.76, 35
0 4 1, 31.93, 39
0 2 2, 34.25, 100
2 2 0, 34.53, 97
0 6 0, 42.22, 80
2 4 0, 42.48, 44
2 0 2, 44.93, 87
2 4 1, 45.46, 30
2 6 2, 63.32, 42

***

For LiPu5Ge5, the PBE geometry in Alexandria gives the theoretical powder X-ray diffraction pattern in this record (Cu Kα X-rays).
No peak broadening, texture or thermal motion is included.

Structure:
Cell lengths 16.249, 5.339, 6.130 Å; angles 90.00, 112.10, 90.00 degrees
Space group C2/m (No. 12)
Unique sites:
Li 0.000 0.000 0.000 [2 per cell]
Pu 0.000 0.000 0.500 [2 per cell]
Pu 0.142 0.500 0.643 [4 per cell]
Pu 0.188 0.500 0.188 [4 per cell]
Ge 0.000 0.500 0.000 [2 per cell]
Ge 0.159 0.000 0.373 [4 per cell]
Ge 0.159 0.000 0.945 [4 per cell]

Most intense lines, 2θ = 10–80°, by angle:
(hkl), 2theta, intensity
3 1 0, 24.34, 48
2 0 -2, 29.14, 30
5 1 -1, 32.57, 57
0 2 0, 33.57, 52
3 1 -2, 34.26, 17
6 0 0, 35.79, 27
1 1 2, 38.32, 100
2 2 -2, 45.03, 19
6 2 0, 49.88, 21
1 3 2, 63.19, 24